Diffraction record for PrNd2Pd3Pb3. The PXRD pattern is simulated, not measured: it uses the GGA-PBE geometry in OQMD and Cu Kα, 1.54184 Å.
Kinematic intensities with the Lorentz-polarization factor, no thermal factor.

Principal peaks in the range 15° ≤ 2θ ≤ 90°, low angle first:
- (1 0 2), 2θ 31.56, I = 100
- (1 2 2), 2θ 34.24, I = 67
- (0 5 1), 2θ 34.69, I = 55
- (0 6 0), 2θ 39.52, I = 34
- (1 5 1), 2θ 41.36, I = 30
- (1 8 2), 2θ 63.53, I = 33

Crystal structure
Unit cell a=4.072 b=13.686 c=7.897 alpha=90.00 beta=90.00 gamma=90.00
Space group Amm2 (No. 38)
Symmetry-distinct sites (fractional):
Pr 0.000 0.000 0.000 x2
Nd 0.000 0.202 0.608 x4
Pd 0.000 0.000 0.406 x2
Pd 0.500 0.167 0.905 x4
Pb 0.500 0.000 0.665 x2
Pb 0.500 0.130 0.276 x4

***

Diffraction record for Tb2NdPd3Pb3. The PXRD pattern is simulated, not measured: it uses the GGA-PBE geometry in OQMD and Cu Kα, 1.54184 Å.
Kinematic intensities with the Lorentz-polarization factor, no thermal factor.

Principal peaks in the range 15° ≤ 2θ ≤ 90°, low angle first:
- (1 0 2), 2θ 32.22, I = 100
- (0 5 1), 2θ 34.70, I = 34
- (1 2 2), 2θ 34.85, I = 78
- (0 3 3), 2θ 39.61, I = 24
- (1 5 1), 2θ 41.91, I = 25
- (2 5 1), 2θ 59.24, I = 22

Crystal structure
Unit cell a=3.914 b=13.691 c=7.875 alpha=90.00 beta=90.00 gamma=90.00
Space group Amm2 (No. 38)
Symmetry-distinct sites (fractional):
Tb 0.000 0.201 0.000 x4
Nd 0.000 0.000 0.397 x2
Pd 0.000 0.000 0.802 x2
Pd 0.500 0.169 0.298 x4
Pb 0.500 0.000 0.062 x2
Pb 0.500 0.133 0.670 x4